(1)
For BaLuCo4O7, a PBE+U-relaxed structure gives the simulated XRD peak list in this record (Cu Kα X-rays).
Kinematic intensities with the Lorentz-polarization factor, no thermal factor.

Structure:
```
data_BaLuCo4O7
_chemical_formula_sum 'Ba4 Lu4 Co16 O28'
_symmetry_space_group_name_H-M 'P n a 21'
_symmetry_Int_Tables_number 33
_cell_length_a 10.996
_cell_length_b 6.310
_cell_length_c 10.284
_cell_angle_alpha 90.00
_cell_angle_beta 90.00
_cell_angle_gamma 90.00
loop_
_symmetry_equiv_pos_as_xyz
'x,y,z'
'-x,-y,z+1/2'
'-x+1/2,y+1/2,z+1/2'
'x+1/2,-y+1/2,z'
loop_
_atom_site_label
_atom_site_fract_x
_atom_site_fract_y
_atom_site_fract_z
Ba1 0.164 0.007 0.000
Lu1 0.170 0.997 0.625
Co1 0.001 0.500 0.058
Co2 0.083 0.242 0.318
Co3 0.089 0.755 0.313
Co4 0.173 0.501 0.815
O1 0.001 0.493 0.254
O2 0.006 0.990 0.757
O3 0.066 0.224 0.501
O4 0.100 0.736 0.503
O5 0.169 0.454 0.002
O6 0.244 0.775 0.219
O7 0.247 0.281 0.277
```

Largest 10 diffraction maxima, by angle, 5 to 70 degrees two-theta:
d = 3.169 Å, rel. 419; d = 3.155 Å, rel. 208; d = 2.906 Å, rel. 1000; d = 2.698 Å, rel. 722; d = 2.689 Å, rel. 346; d = 2.656 Å, rel. 238; d = 2.644 Å, rel. 493; d = 1.719 Å, rel. 191; d = 1.644 Å, rel. 271; d = 1.585 Å, rel. 255

***

(2)
For BaLuCo4O7, a PBE+U-relaxed structure gives the simulated XRD peak list in this record (Cu Kα X-rays).
Kinematic intensities with the Lorentz-polarization factor, no thermal factor.

Structure:
```
data_BaLuCo4O7
_chemical_formula_sum 'Ba4 Lu4 Co16 O28'
_symmetry_space_group_name_H-M 'C 1 c 1'
_symmetry_Int_Tables_number 9
_cell_length_a 6.305
_cell_length_b 10.993
_cell_length_c 10.312
_cell_angle_alpha 90.00
_cell_angle_beta 90.40
_cell_angle_gamma 90.00
loop_
_symmetry_equiv_pos_as_xyz
'x,y,z'
'x,-y,z+1/2'
'x+1/2,y+1/2,z'
'x+1/2,-y+1/2,z+1/2'
loop_
_atom_site_label
_atom_site_fract_x
_atom_site_fract_y
_atom_site_fract_z
Ba1 0.000 0.168 0.000
Lu1 0.005 0.168 0.376
Co1 0.003 0.499 0.940
Co2 0.014 0.329 0.682
Co3 0.241 0.081 0.685
Co4 0.253 0.406 0.185
O1 0.002 0.005 0.243
O2 0.046 0.332 0.495
O3 0.223 0.059 0.503
O4 0.229 0.388 0.995
O5 0.269 0.245 0.263
O6 0.277 0.241 0.740
O7 0.498 0.002 0.745
```

Largest 10 diffraction maxima, by angle, 5 to 70 degrees two-theta:
d = 3.168 Å, rel. 623; d = 2.916 Å, rel. 1000; d = 2.902 Å, rel. 508; d = 2.701 Å, rel. 765; d = 2.695 Å, rel. 608; d = 2.656 Å, rel. 348; d = 2.647 Å, rel. 385; d = 2.639 Å, rel. 333; d = 1.650 Å, rel. 407; d = 1.584 Å, rel. 369

***

(3)
For Ba2MgCoMoO6, a PBE+U-relaxed structure gives the simulated XRD peak list in this record (Cu Kα X-rays).
Kinematic intensities with the Lorentz-polarization factor, no thermal factor.

Structure:
```
data_Ba2MgCoMoO6
_chemical_formula_sum 'Ba2 Mg1 Co1 Mo1 O6'
_symmetry_space_group_name_H-M 'P 1'
_symmetry_Int_Tables_number 1
_cell_length_a 5.890
_cell_length_b 5.978
_cell_length_c 6.311
_cell_angle_alpha 63.43
_cell_angle_beta 87.88
_cell_angle_gamma 60.79
loop_
_symmetry_equiv_pos_as_xyz
'x,y,z'
loop_
_atom_site_label
_atom_site_fract_x
_atom_site_fract_y
_atom_site_fract_z
Ba1 0.000 0.000 0.000
Ba2 0.424 0.126 0.358
Mg1 0.776 0.445 0.390
Co1 0.631 0.727 0.907
Mo1 0.207 0.574 0.677
O1 0.004 0.503 0.963
O2 0.410 0.630 0.411
O3 0.426 0.102 0.832
O4 0.496 0.490 0.932
O5 0.925 0.648 0.435
O6 0.999 0.031 0.544
```

Largest 10 diffraction maxima, by angle, 5 to 70 degrees two-theta:
d = 3.332 Å, rel. 217; d = 3.199 Å, rel. 214; d = 3.127 Å, rel. 167; d = 2.989 Å, rel. 1000; d = 2.942 Å, rel. 478; d = 2.873 Å, rel. 241; d = 2.778 Å, rel. 324; d = 2.684 Å, rel. 306; d = 2.108 Å, rel. 151; d = 2.099 Å, rel. 155

***

(4)
For Ba2MgCoMoO6, a PBE+U-relaxed structure gives the simulated XRD peak list in this record (Cu Kα X-rays).
Kinematic intensities with the Lorentz-polarization factor, no thermal factor.

Structure:
```
data_Ba2MgCoMoO6
_chemical_formula_sum 'Ba4 Mg2 Co2 Mo2 O12'
_symmetry_space_group_name_H-M 'I m m m'
_symmetry_Int_Tables_number 71
_symmetry_space_group_name_Hall '-I 2 2'
_cell_length_a 5.729
_cell_length_b 5.810
_cell_length_c 10.601
_cell_angle_alpha 90.00
_cell_angle_beta 90.00
_cell_angle_gamma 90.00
loop_
_atom_site_label
_atom_site_fract_x
_atom_site_fract_y
_atom_site_fract_z
Ba1 0.000 0.000 0.182
Mg1 0.000 0.000 0.500
Co1 0.000 0.500 0.000
Mo1 0.000 0.500 0.500
O1 0.000 0.500 0.311
O2 0.247 0.265 0.000
```

Largest 10 diffraction maxima, by angle, 5 to 70 degrees two-theta:
d = 5.095 Å, rel. 291; d = 3.233 Å, rel. 1000; d = 3.019 Å, rel. 409; d = 3.008 Å, rel. 406; d = 2.905 Å, rel. 408; d = 2.864 Å, rel. 390; d = 2.089 Å, rel. 297; d = 2.078 Å, rel. 249; d = 2.040 Å, rel. 490; d = 1.454 Å, rel. 170

***

What did the second record say?
For BaLuCo4O7, a PBE+U-relaxed structure gives the simulated XRD peak list in this record (Cu Kα X-rays).
Kinematic intensities with the Lorentz-polarization factor, no thermal factor.

Structure:
```
data_BaLuCo4O7
_chemical_formula_sum 'Ba4 Lu4 Co16 O28'
_symmetry_space_group_name_H-M 'C 1 c 1'
_symmetry_Int_Tables_number 9
_cell_length_a 6.305
_cell_length_b 10.993
_cell_length_c 10.312
_cell_angle_alpha 90.00
_cell_angle_beta 90.40
_cell_angle_gamma 90.00
loop_
_symmetry_equiv_pos_as_xyz
'x,y,z'
'x,-y,z+1/2'
'x+1/2,y+1/2,z'
'x+1/2,-y+1/2,z+1/2'
loop_
_atom_site_label
_atom_site_fract_x
_atom_site_fract_y
_atom_site_fract_z
Ba1 0.000 0.168 0.000
Lu1 0.005 0.168 0.376
Co1 0.003 0.499 0.940
Co2 0.014 0.329 0.682
Co3 0.241 0.081 0.685
Co4 0.253 0.406 0.185
O1 0.002 0.005 0.243
O2 0.046 0.332 0.495
O3 0.223 0.059 0.503
O4 0.229 0.388 0.995
O5 0.269 0.245 0.263
O6 0.277 0.241 0.740
O7 0.498 0.002 0.745
```

Largest 10 diffraction maxima, by angle, 5 to 70 degrees two-theta:
d = 3.168 Å, rel. 623; d = 2.916 Å, rel. 1000; d = 2.902 Å, rel. 508; d = 2.701 Å, rel. 765; d = 2.695 Å, rel. 608; d = 2.656 Å, rel. 348; d = 2.647 Å, rel. 385; d = 2.639 Å, rel. 333; d = 1.650 Å, rel. 407; d = 1.584 Å, rel. 369